[1]
Diffraction record for Rb2BiF5. The XRD peak list is calculated, not measured: it uses a cell relaxed with GGA-PBE and Cu Kα X-rays.
Intensities are scaled so that the largest is 100.

Most intense lines, 2θ from 15° to 90°, in order of rising 2θ:
| two_theta | I_rel |
| --- | --- |
| 18.57 | 34 |
| 25.14 | 100 |
| 25.41 | 20 |
| 27.30 | 32 |
| 37.65 | 24 |
| 41.00 | 25 |
| 46.96 | 19 |
| 56.36 | 19 |

```
Rb2BiF5
1.0
8.420 0.000 0.000
0.000 6.533 0.000
0.000 0.000 12.656
Rb Bi F
8 4 20
Cartesian
0.060 1.633 2.941
1.278 1.633 7.328
2.932 4.900 1.000
4.150 4.900 9.269
4.269 1.633 3.387
5.488 1.633 11.656
7.142 4.900 5.328
8.360 4.900 9.714
1.471 1.633 11.806
2.739 4.900 5.478
5.681 1.633 7.177
6.949 4.900 0.849
0.000 0.000 0.000
0.000 3.266 0.000
0.195 1.633 9.954
1.393 0.045 4.868
1.393 3.221 4.868
1.793 4.900 7.567
2.417 1.633 1.239
2.817 3.312 11.196
2.817 6.488 11.196
4.015 4.900 3.626
4.210 0.000 6.328
4.210 3.266 6.328
4.405 1.633 9.030
5.603 0.045 1.460
5.603 3.221 1.460
6.003 4.900 11.416
6.627 1.633 5.088
7.027 3.312 7.788
7.027 6.488 7.788
8.225 4.900 2.702
```

=====

[2]
Diffraction record for KReO2. The XRD peak list is calculated, not measured: it uses a cell relaxed with GGA-PBE and Cu Kα X-rays.
Intensities are scaled so that the largest is 100.

Most intense lines, 2θ from 15° to 90°, in order of rising 2θ:
| two_theta | I_rel |
| --- | --- |
| 15.61 | 75 |
| 24.84 | 35 |
| 27.29 | 59 |
| 31.51 | 100 |
| 40.47 | 39 |
| 49.50 | 41 |
| 50.96 | 35 |
| 68.04 | 26 |

```
KReO2
1.0
-3.152 3.152 6.537
3.152 -3.152 6.537
3.152 3.152 -6.537
K Re O
4 4 8
Cartesian
0.000 0.000 0.000
1.576 1.576 -3.268
1.576 -1.576 3.268
0.000 3.152 0.000
3.152 0.000 0.000
-1.576 1.576 3.268
0.000 0.000 6.537
1.576 1.576 3.268
1.975 1.576 -0.385
4.328 1.576 -0.385
0.000 0.399 2.883
3.152 0.399 3.654
0.000 2.753 2.883
3.152 2.753 3.654
-1.177 1.576 6.922
1.177 1.576 6.922
```